Computed X-ray diffraction stick pattern of K2HgO2 for Cu Kα (weighted mean of Kα1 and Kα2), from a cell relaxed with PBE.
Neutral-atom scattering factors, no anomalous dispersion.

Main lines, in order of rising 2θ (2θ from 10° to 80°):
Position (°2θ)  Rel. int.
17.33  97
22.14  55
27.62  17
30.26  31
32.79  50
33.31  100
37.75  33
45.71  18
49.18  23
64.76  29

Atomic structure:
```
data_K2HgO2
_chemical_formula_sum 'K8 Hg4 O8'
_space_group_name_H-M_alt 'P b c n'
_space_group_IT_number 60
_space_group_name_Hall '-P 2n 2ab'
_cell_length_a 10.2193
_cell_length_b 5.9274
_cell_length_c 6.4581
_cell_angle_alpha 90.00
_cell_angle_beta 90.00
_cell_angle_gamma 90.00
loop_
_atom_site_label
_atom_site_type_symbol
_atom_site_fract_x
_atom_site_fract_y
_atom_site_fract_z
_atom_site_occupancy
K1 K 0.1536 0.1318 0.1323 1
Hg1 Hg 0.0000 0.3688 0.7500 1
O1 O 0.1103 0.3102 0.4873 1
```

Computed X-ray diffraction stick pattern of Li5SnHg4 for Cu Kα (weighted mean of Kα1 and Kα2), from a cell relaxed with PBE.
Neutral-atom scattering factors, no anomalous dispersion.

Main lines, in order of rising 2θ (2θ from 10° to 80°):
Position (°2θ)  Rel. int.
10.62  2
26.79  100
27.35  1
38.25  89
47.31  29
55.13  5
55.24  10
62.38  26
62.45  13
69.15  32

Atomic structure:
```
data_Li5SnHg4
_chemical_formula_sum 'Li5 Sn1 Hg4'
_space_group_name_H-M_alt 'P 4/m m m'
_space_group_IT_number 123
_space_group_name_Hall '-P 4 2'
_cell_length_a 3.3255
_cell_length_b 3.3255
_cell_length_c 16.6603
_cell_angle_alpha 90.00
_cell_angle_beta 90.00
_cell_angle_gamma 90.00
loop_
_atom_site_label
_atom_site_type_symbol
_atom_site_fract_x
_atom_site_fract_y
_atom_site_fract_z
_atom_site_occupancy
Li1 Li 0.0000 0.0000 0.0000 1
Li2 Li 0.0000 0.0000 0.1980 1
Li3 Li 0.0000 0.0000 0.3930 1
Sn1 Sn 0.5000 0.5000 0.5000 1
Hg1 Hg 0.5000 0.5000 0.0989 1
Hg2 Hg 0.5000 0.5000 0.2961 1
```

Computed X-ray diffraction stick pattern of Dy4ErTm2Ni2Te2 for Cu Kα (weighted mean of Kα1 and Kα2), from a cell relaxed with PBE.
Neutral-atom scattering factors, no anomalous dispersion.

Main lines, in order of rising 2θ (2θ from 10° to 80°):
Position (°2θ)  Rel. int.
28.96  21
30.21  21
30.50  51
33.11  78
34.16  100
34.64  73
36.79  21
47.43  28
51.21  23
59.06  30

Atomic structure:
```
data_Dy4ErTm2Ni2Te2
_chemical_formula_sum 'Dy8 Er2 Tm4 Ni4 Te4'
_space_group_name_H-M_alt 'I m m 2'
_space_group_IT_number 44
_space_group_name_Hall 'I 2 -2'
_cell_length_a 3.8335
_cell_length_b 15.5656
_cell_length_c 9.5118
_cell_angle_alpha 90.00
_cell_angle_beta 90.00
_cell_angle_gamma 90.00
loop_
_atom_site_label
_atom_site_type_symbol
_atom_site_fract_x
_atom_site_fract_y
_atom_site_fract_z
_atom_site_occupancy
Dy1 Dy 0.0000 0.1459 0.0000 1
Dy2 Dy 0.0000 0.1844 0.6480 1
Er1 Er 0.0000 0.5000 0.2693 1
Tm1 Tm 0.0000 0.3670 0.8521 1
Ni1 Ni 0.0000 0.2611 0.3411 1
Te1 Te 0.0000 0.0000 0.5021 1
Te2 Te 0.0000 0.5000 0.6095 1
```